This entry pairs a crystal structure of TlCoCl3 with its calculated XRD peak list. Radiation: λ = 1.5418 Å (Cu Kα). Structure: a crystal structure in OQMD, relaxed with GGA-PBE.
Lines closer than 0.1° are merged.

Cell and atoms:
Cell: 6.9267 6.9267 5.8391 Å, 90.00 90.00 120.00°
Space group P6_3/mmc (No. 194)
One atom of each set of equivalent atoms:
Tl1 0.3333 0.6667 0.2500 (multiplicity 2)
Co1 0.0000 0.0000 0.0000 (multiplicity 2)
Cl1 0.1609 0.3218 0.7500 (multiplicity 6)

The 8 most intense peaks (5 to 70 degrees two-theta), by angle:
- 2θ 21.23, I = 89
- 2θ 25.72, I = 71
- 2θ 33.59, I = 100
- 2θ 34.16, I = 27
- 2θ 42.78, I = 28
- 2θ 43.25, I = 32
- 2θ 52.87, I = 25
- 2θ 56.35, I = 22

This entry pairs a crystal structure of CoW2Cl10 with its calculated XRD peak list. Radiation: λ = 1.5418 Å (Cu Kα). Structure: a crystal structure in OQMD, relaxed with GGA-PBE.
Lines closer than 0.1° are merged.

Cell and atoms:
Cell: 6.128 16.713 12.047 Å, 90.00 100.23 90.00°
Space group C2/c (No. 15)
One atom of each set of equivalent atoms:
Co1 0.000 0.061 0.250 (multiplicity 4)
W1 0.000 0.272 0.250 (multiplicity 4)
W2 0.000 0.433 0.250 (multiplicity 4)
Cl1 0.109 0.162 0.135 (multiplicity 8)
Cl2 0.129 0.352 0.113 (multiplicity 8)
Cl3 0.137 0.461 0.640 (multiplicity 8)
Cl4 0.150 0.051 0.637 (multiplicity 8)
Cl5 0.154 0.241 0.640 (multiplicity 8)

The 8 most intense peaks (5 to 70 degrees two-theta), by angle:
- 2θ 12.96, I = 28
- 2θ 14.95, I = 100
- 2θ 16.16, I = 65
- 2θ 18.43, I = 48
- 2θ 29.63, I = 22
- 2θ 30.86, I = 22
- 2θ 35.73, I = 35
- 2θ 36.63, I = 49

This entry pairs a crystal structure of Cs3Cu2Cl5 with its calculated XRD peak list. Radiation: λ = 1.5418 Å (Cu Kα). Structure: a crystal structure in OQMD, relaxed with GGA-PBE.
Lines closer than 0.1° are merged.

Cell and atoms:
Cell: 4.351 17.487 15.569 Å, 90.00 90.00 90.00°
Space group Pbcm (No. 57)
One atom of each set of equivalent atoms:
Cs1 0.017 0.126 0.028 (multiplicity 8)
Cs2 0.019 0.128 0.750 (multiplicity 4)
Cu1 0.446 0.046 0.250 (multiplicity 4)
Cu2 0.492 0.697 0.250 (multiplicity 4)
Cl1 0.021 0.131 0.250 (multiplicity 4)
Cl2 0.476 0.738 0.621 (multiplicity 8)
Cl3 0.493 0.010 0.620 (multiplicity 8)

The 8 most intense peaks (5 to 70 degrees two-theta), by angle:
- 2θ 22.85, I = 31
- 2θ 23.40, I = 25
- 2θ 28.66, I = 56
- 2θ 28.95, I = 100
- 2θ 30.76, I = 49
- 2θ 30.83, I = 32
- 2θ 35.32, I = 26
- 2θ 52.41, I = 36